# 1
Starting from a GGA-PBE-relaxed structure, the X-ray diffraction stick pattern of PuGaTcGe2 was simulated for Cu Kα, 1.54184 Å.
Peak positions follow from Bragg's law for the DFT cell and can differ from measured ones.

Top 10 peaks for 10° ≤ 2θ ≤ 80°, by angle:
d_spacing, I (rel.)
4.059, 169
3.299, 289
2.923, 157
2.820, 249
2.597, 356
2.524, 225
2.322, 1000
2.029, 342
1.513, 221
1.265, 135

Crystal structure
```
data_PuGaTcGe2
_cell_length_a 5.6395
_cell_length_b 5.6652
_cell_length_c 5.8456
_cell_angle_alpha 90.00
_cell_angle_beta 90.00
_cell_angle_gamma 90.00
_symmetry_space_group_name_H-M 'P 1'
_symmetry_Int_Tables_number 1
_symmetry_space_group_name_Hall 'P 1'
loop_
_atom_site_label
_atom_site_type_symbol
_atom_site_fract_x
_atom_site_fract_y
_atom_site_fract_z
_atom_site_occupancy
Pu1 Pu 0.2500 0.0000 0.2236 1
Pu2 Pu 0.7500 0.0000 0.7764 1
Ga1 Ga 0.2500 0.5000 0.3711 1
Ga2 Ga 0.7500 0.5000 0.6289 1
Tc1 Tc 0.0000 0.5000 0.0000 1
Tc2 Tc 0.5000 0.5000 0.0000 1
Ge1 Ge 0.2500 0.2303 0.7331 1
Ge2 Ge 0.2500 0.7697 0.7331 1
Ge3 Ge 0.7500 0.2303 0.2669 1
Ge4 Ge 0.7500 0.7697 0.2669 1
```


# 2
Starting from a GGA-PBE-relaxed structure, the X-ray diffraction stick pattern of PuZnGaGe was simulated for Cu Kα, 1.54184 Å.
Peak positions follow from Bragg's law for the DFT cell and can differ from measured ones.

Top 10 peaks for 10° ≤ 2θ ≤ 80°, by angle:
d_spacing, I (rel.)
4.447, 142
4.210, 119
2.462, 1000
2.224, 187
2.105, 159
2.076, 152
1.529, 114
1.325, 141
1.274, 124
1.261, 120

Crystal structure
```
data_PuZnGaGe
_cell_length_a 4.1530
_cell_length_b 4.2096
_cell_length_c 4.4475
_cell_angle_alpha 90.00
_cell_angle_beta 90.00
_cell_angle_gamma 90.00
_symmetry_space_group_name_H-M 'P 1'
_symmetry_Int_Tables_number 1
_symmetry_space_group_name_Hall 'P 1'
loop_
_atom_site_label
_atom_site_type_symbol
_atom_site_fract_x
_atom_site_fract_y
_atom_site_fract_z
_atom_site_occupancy
Pu1 Pu 0.0000 0.0000 0.0000 1
Zn1 Zn 0.0000 0.5000 0.5000 1
Ga1 Ga 0.5000 0.0000 0.5000 1
Ge1 Ge 0.5000 0.5000 0.0000 1
```


# 3
Starting from a GGA-PBE-relaxed structure, the X-ray diffraction stick pattern of RbGa6Ge6 was simulated for Cu Kα, 1.54184 Å.
Peak positions follow from Bragg's law for the DFT cell and can differ from measured ones.

Top 10 peaks for 10° ≤ 2θ ≤ 80°, by angle:
d_spacing, I (rel.)
5.065, 592
3.581, 425
2.924, 1000
2.265, 148
2.068, 542
1.914, 577
1.791, 378
1.602, 160
1.308, 160
1.266, 233

Crystal structure
```
data_RbGa6Ge6
_cell_length_a 7.1629
_cell_length_b 7.1629
_cell_length_c 7.1629
_cell_angle_alpha 90.00
_cell_angle_beta 90.00
_cell_angle_gamma 90.00
_symmetry_space_group_name_H-M 'P 1'
_symmetry_Int_Tables_number 1
_symmetry_space_group_name_Hall 'P 1'
loop_
_atom_site_label
_atom_site_type_symbol
_atom_site_fract_x
_atom_site_fract_y
_atom_site_fract_z
_atom_site_occupancy
Rb1 Rb 0.0000 0.0000 0.0000 1
Ga1 Ga 0.0000 0.5000 0.2519 1
Ga2 Ga 0.0000 0.5000 0.7481 1
Ga3 Ga 0.2519 0.0000 0.5000 1
Ga4 Ga 0.5000 0.2519 0.0000 1
Ga5 Ga 0.5000 0.7481 0.0000 1
Ga6 Ga 0.7481 0.0000 0.5000 1
Ge1 Ge 0.0000 0.2488 0.5000 1
Ge2 Ge 0.0000 0.7512 0.5000 1
Ge3 Ge 0.2488 0.5000 0.0000 1
Ge4 Ge 0.5000 0.0000 0.2488 1
Ge5 Ge 0.5000 0.0000 0.7512 1
Ge6 Ge 0.7512 0.5000 0.0000 1
```